(1)
Diffraction record for Ba2ErSbO6. The powder XRD pattern is computed, not measured: it uses the PBE geometry in the Materials Project and Cu Ka.

Main lines, in order of rising 2θ (10 to 80 degrees two-theta):
h k l  2θ (°)  I (rel.)
1 1 1  18.1  1
2 0 0  20.9  2
2 2 0  29.8  100
3 1 1  35.1  1
2 2 2  36.7  1
4 0 0  42.6  29
4 2 2  52.9  40
4 4 0  61.9  18
6 2 0  70.1  18
4 4 4  78.0  6

Crystal structure
```
data_Ba2ErSbO6
_chemical_formula_sum 'Ba8 Er4 Sb4 O24'
_cell_length_a 8.4853
_cell_length_b 8.4853
_cell_length_c 8.4853
_cell_angle_alpha 90.00
_cell_angle_beta 90.00
_cell_angle_gamma 90.00
_symmetry_space_group_name_H-M 'F m -3 m'
_symmetry_Int_Tables_number 225
_symmetry_space_group_name_Hall '-F 4 2 3'
loop_
_atom_site_label
_atom_site_type_symbol
_atom_site_fract_x
_atom_site_fract_y
_atom_site_fract_z
_atom_site_occupancy
Ba1 Ba 0.2500 0.2500 0.2500 1
Er1 Er 0.0000 0.0000 0.0000 1
Sb1 Sb 0.0000 0.0000 0.5000 1
O1 O 0.0000 0.0000 0.2620 1
```

---

(2)
Diffraction record for NdPd3. The powder XRD pattern is computed, not measured: it uses the PBE geometry in the Materials Project and Cu Ka.

Main lines, in order of rising 2θ (10 to 80 degrees two-theta):
h k l  2θ (°)  I (rel.)
1 0 0  21.1  2
1 1 0  30.1  2
1 1 1  37.0  100
2 0 0  43.0  49
2 1 0  48.4  1
2 1 1  53.4  1
2 2 0  62.5  32
3 1 1  74.9  37
2 2 2  78.9  11

Crystal structure
```
data_NdPd3
_chemical_formula_sum 'Nd1 Pd3'
_cell_length_a 4.2039
_cell_length_b 4.2039
_cell_length_c 4.2039
_cell_angle_alpha 90.00
_cell_angle_beta 90.00
_cell_angle_gamma 90.00
_symmetry_space_group_name_H-M 'P m -3 m'
_symmetry_Int_Tables_number 221
_symmetry_space_group_name_Hall '-P 4 2 3'
loop_
_atom_site_label
_atom_site_type_symbol
_atom_site_fract_x
_atom_site_fract_y
_atom_site_fract_z
_atom_site_occupancy
Nd1 Nd 0.0000 0.0000 0.0000 1
Pd1 Pd 0.0000 0.5000 0.5000 1
```

---

(3)
Diffraction record for Pr4Mg7Ge6. The powder XRD pattern is computed, not measured: it uses the PBE geometry in the Materials Project and Cu Ka.

Main lines, in order of rising 2θ (10 to 80 degrees two-theta):
h k l  2θ (°)  I (rel.)
2 0 0  12.5  39
4 0 0  25.2  27
3 1 -2  26.4  39
2 0 -4  28.8  32
3 1 -3  29.7  45
1 1 -3  30.1  74
5 1 -2  33.5  87
3 1 -4  34.9  58
3 1 2  37.5  100
0 2 0  40.5  63

Crystal structure
```
data_Pr4Mg7Ge6
_chemical_formula_sum 'Pr8 Mg14 Ge12'
_cell_length_a 16.7595
_cell_length_b 4.4539
_cell_length_c 12.6162
_cell_angle_alpha 90.00
_cell_angle_beta 122.44
_cell_angle_gamma 90.00
_symmetry_space_group_name_H-M 'C 1 2/m 1'
_symmetry_Int_Tables_number 12
loop_
_symmetry_equiv_pos_as_xyz
'x,y,z'
'-x,-y,-z'
'-x,y,-z'
'x,-y,z'
'x+1/2,y+1/2,z'
'-x+1/2,-y+1/2,-z'
'-x+1/2,y+1/2,-z'
'x+1/2,-y+1/2,z'
loop_
_atom_site_label
_atom_site_type_symbol
_atom_site_fract_x
_atom_site_fract_y
_atom_site_fract_z
_atom_site_occupancy
Pr1 Pr 0.1297 0.0000 0.3396 1
Pr2 Pr 0.2336 0.0000 0.1132 1
Mg1 Mg 0.0000 0.0000 0.0000 1
Mg2 Mg 0.0395 0.5000 0.6386 1
Mg3 Mg 0.0619 0.5000 0.8960 1
Mg4 Mg 0.1896 0.0000 0.6538 1
Ge1 Ge 0.1086 0.0000 0.8112 1
Ge2 Ge 0.1201 0.5000 0.1513 1
Ge3 Ge 0.1495 0.5000 0.5246 1
```

---

> Which formula does entry 3 have?

Pr4Mg7Ge6